This entry pairs a crystal structure of TeMoWSeS2 with its theoretical X-ray diffraction stick pattern. Radiation: Cu Ka. Structure: a DFT-relaxed cell (GGA-PBE, Alexandria).
Lines closer than 0.1° are merged.

Atomic structure:
abc: 3.3098 3.3098 35.8476
angles: 90.00 90.00 120.00
Sites, in units of the cell vectors:
Te 0.0000 0.0000 0.0000
Te 0.0000 0.0000 0.1074
Mo 0.0000 0.0000 0.2560
Mo 0.6667 0.3333 0.6462
W 0.0000 0.0000 0.8430
W 0.6667 0.3333 0.0537
Se 0.6667 0.3333 0.7959
Se 0.6667 0.3333 0.8901
S 0.0000 0.0000 0.6036
S 0.0000 0.0000 0.6888
S 0.6667 0.3333 0.2134
S 0.6667 0.3333 0.2985

Principal peaks in the range 2θ from 10° to 90°, sorted by position:
2theta, I (rel.)
12.35, 100
31.20, 32
31.31, 13
33.67, 14
35.90, 67
37.24, 46
43.77, 52
45.65, 13
55.55, 33
57.12, 12

***

This entry pairs a crystal structure of NdHo2NpN4 with its theoretical X-ray diffraction stick pattern. Radiation: Cu Ka. Structure: a DFT-relaxed cell (GGA-PBE, Alexandria).
Lines closer than 0.1° are merged.

Atomic structure:
abc: 6.7716 6.7716 10.9358
angles: 90.00 90.00 150.81
Sites, in units of the cell vectors:
Nd 0.2319 0.7681 0.7500
Nd 0.7681 0.2319 0.2500
Ho 0.3722 0.6278 0.0130
Ho 0.3722 0.6278 0.4870
Ho 0.6278 0.3722 0.5130
Ho 0.6278 0.3722 0.9870
Np 0.0351 0.9649 0.2500
Np 0.9649 0.0351 0.7500
N 0.0000 0.0000 0.0000
N 0.0000 0.0000 0.5000
N 0.2012 0.7988 0.1108
N 0.2012 0.7988 0.3892
N 0.4228 0.5772 0.2500
N 0.5772 0.4228 0.7500
N 0.7988 0.2012 0.6108
N 0.7988 0.2012 0.8892

Principal peaks in the range 2θ from 10° to 90°, sorted by position:
2theta, I (rel.)
31.65, 100
31.84, 86
32.76, 56
33.31, 31
34.34, 38
43.54, 22
47.42, 27
54.04, 17
57.78, 18
63.81, 24

***

This entry pairs a crystal structure of Nd4Tl5Au2 with its theoretical X-ray diffraction stick pattern. Radiation: Cu Ka. Structure: a DFT-relaxed cell (GGA-PBE, Alexandria).
Lines closer than 0.1° are merged.

Atomic structure:
abc: 8.2156 3.8149 9.9735
angles: 90.00 93.03 90.00
Sites, in units of the cell vectors:
Nd 0.2034 0.0000 0.3566
Nd 0.2257 0.0000 0.9190
Nd 0.7743 0.0000 0.0810
Nd 0.7966 0.0000 0.6434
Tl 0.1453 0.5000 0.6328
Tl 0.4580 0.5000 0.1657
Tl 0.5000 0.5000 0.5000
Tl 0.5420 0.5000 0.8343
Tl 0.8547 0.5000 0.3672
Au 0.0792 0.5000 0.1318
Au 0.9208 0.5000 0.8682

Principal peaks in the range 2θ from 10° to 90°, sorted by position:
2theta, I (rel.)
23.32, 51
31.15, 83
31.83, 100
32.04, 99
32.75, 46
35.86, 40
36.30, 40
37.16, 37
38.38, 37
47.68, 46

***

This entry pairs a crystal structure of PrSm2USb4 with its theoretical X-ray diffraction stick pattern. Radiation: Cu Ka. Structure: a DFT-relaxed cell (GGA-PBE, Alexandria).
Lines closer than 0.1° are merged.

Atomic structure:
abc: 7.7484 7.7314 6.3211
angles: 66.04 65.76 48.20
Sites, in units of the cell vectors:
Pr 0.0000 0.0000 0.0000
Sm 0.2500 0.2500 0.2500
Sm 0.5000 0.5000 0.5000
U 0.7500 0.7500 0.7500
Sb 0.2519 0.2519 0.7481
Sb 0.5043 0.5043 0.9957
Sb 0.7481 0.7481 0.2519
Sb 0.9957 0.9957 0.5043

Principal peaks in the range 2θ from 10° to 90°, sorted by position:
2theta, I (rel.)
28.24, 100
40.22, 13
40.37, 51
40.50, 13
49.87, 14
50.11, 14
58.41, 13
66.12, 24
73.20, 9
73.55, 13

***

This entry pairs a crystal structure of LaSmPdRh with its theoretical X-ray diffraction stick pattern. Radiation: Cu Ka. Structure: a DFT-relaxed cell (GGA-PBE, Alexandria).
Lines closer than 0.1° are merged.

Atomic structure:
abc: 4.5598 3.8864 10.7577
angles: 90.00 90.00 90.00
Sites, in units of the cell vectors:
La 0.0000 0.0000 0.0000
La 0.0000 0.5000 0.5000
Sm 0.5000 0.0000 0.7219
Sm 0.5000 0.5000 0.2219
Pd 0.5000 0.0000 0.4401
Pd 0.5000 0.5000 0.9401
Rh 0.0000 0.0000 0.2613
Rh 0.0000 0.5000 0.7613

Principal peaks in the range 2θ from 10° to 90°, sorted by position:
2theta, I (rel.)
31.37, 100
33.31, 31
34.02, 18
38.88, 17
39.50, 90
46.75, 19
52.62, 25
58.61, 12
62.84, 15
73.01, 12

***

This entry pairs a crystal structure of BaLa with its theoretical X-ray diffraction stick pattern. Radiation: Cu Ka. Structure: a DFT-relaxed cell (GGA-PBE, Alexandria).
Lines closer than 0.1° are merged.

Atomic structure:
abc: 4.0983 4.9423 9.5248
angles: 90.00 90.00 90.00
Sites, in units of the cell vectors:
Ba 0.2500 0.2500 0.1603
Ba 0.7500 0.7500 0.8397
La 0.2500 0.2500 0.5757
La 0.7500 0.7500 0.4243

Principal peaks in the range 2θ from 10° to 90°, sorted by position:
2theta, I (rel.)
25.98, 91
28.11, 16
28.29, 100
28.74, 71
36.36, 26
40.30, 24
44.20, 15
46.99, 36
51.97, 34
58.51, 13

***

This entry pairs a crystal structure of PrY3Hg with its theoretical X-ray diffraction stick pattern. Radiation: Cu Ka. Structure: a DFT-relaxed cell (GGA-PBE, Alexandria).
Lines closer than 0.1° are merged.

Atomic structure:
abc: 6.8184 6.8184 7.9472
angles: 106.88 106.88 65.98
Sites, in units of the cell vectors:
Pr 0.0640 0.0640 0.2315
Pr 0.9360 0.9360 0.7685
Y 0.0898 0.5923 0.3569
Y 0.4077 0.9102 0.6431
Y 0.4372 0.4372 0.7562
Y 0.5628 0.5628 0.2438
Y 0.5923 0.0898 0.3569
Y 0.9102 0.4077 0.6431
Hg 0.2646 0.2646 0.9997
Hg 0.7354 0.7354 0.0003

Principal peaks in the range 2θ from 10° to 90°, sorted by position:
2theta, I (rel.)
23.97, 19
26.83, 52
31.28, 57
33.70, 38
33.85, 70
34.10, 100
41.80, 25
49.08, 17
55.14, 23
59.36, 19

***

This entry pairs a crystal structure of Tl7In3Pb with its theoretical X-ray diffraction stick pattern. Radiation: Cu Ka. Structure: a DFT-relaxed cell (GGA-PBE, Alexandria).
Lines closer than 0.1° are merged.

Atomic structure:
abc: 8.2538 8.2538 5.8977
angles: 109.45 109.45 89.43
Sites, in units of the cell vectors:
Tl 0.0000 0.0000 0.0000
Tl 0.0986 0.5544 0.3250
Tl 0.3177 0.3177 0.8183
Tl 0.4456 0.9014 0.6750
Tl 0.5544 0.0986 0.3250
Tl 0.6823 0.6823 0.1817
Tl 0.9014 0.4456 0.6750
In 0.2731 0.7269 0.0000
In 0.5000 0.5000 0.5000
In 0.7269 0.2731 0.0000
Pb 0.0000 0.0000 0.5000

Principal peaks in the range 2θ from 10° to 90°, sorted by position:
2theta, I (rel.)
23.00, 26
26.93, 39
30.33, 100
30.80, 81
33.34, 91
34.27, 85
43.77, 63
55.21, 22
56.43, 23
57.07, 20